1.
Structure and computed powder X-ray diffraction pattern of Na3Si3N5 (a cell relaxed with PBE; CuKα).
No peak broadening, texture or thermal motion is included.

Crystal structure
a b c (Å): 5.3650 6.7856 7.9703
angles (deg): 108.21 97.59 97.83
Space group P-1 (No. 2)
Asymmetric unit:
Na: 0.1470 0.3344 0.3974 [2 per cell]
Na: 0.1541 0.1173 0.7194 [2 per cell]
Na: 0.3332 0.9307 0.1191 [2 per cell]
Si: 0.1924 0.4568 0.0848 [2 per cell]
Si: 0.4005 0.6118 0.7879 [2 per cell]
Si: 0.4191 0.8186 0.4790 [2 per cell]
N: 0.1385 0.5512 0.8984 [2 per cell]
N: 0.2776 0.0153 0.4258 [2 per cell]
N: 0.2949 0.7041 0.6236 [2 per cell]
N: 0.3333 0.2388 0.0454 [2 per cell]
N: 0.4294 0.6101 0.2756 [2 per cell]

The 10 most intense peaks (2θ from 10° to 80°), in order of rising 2θ:
13.99°, 6.330 Å, rel. 33; 16.98°, 5.223 Å, rel. 53; 21.27°, 4.177 Å, rel. 53; 27.87°, 3.201 Å, rel. 36; 30.04°, 2.975 Å, rel. 45; 34.32°, 2.613 Å, rel. 100; 35.37°, 2.538 Å, rel. 61; 36.16°, 2.484 Å, rel. 29; 37.13°, 2.421 Å, rel. 72; 44.95°, 2.017 Å, rel. 31


2.
Structure and computed powder X-ray diffraction pattern of NaNbCu2S4 (a cell relaxed with PBE; CuKα).
No peak broadening, texture or thermal motion is included.

Crystal structure
a b c (Å): 7.4989 18.4226 5.5253
angles (deg): 90.00 90.00 90.00
Space group Ama2 (No. 40)
Asymmetric unit:
Na: 0.2500 0.1810 0.0000 [4 per cell]
Nb: 0.2500 0.3881 0.2447 [4 per cell]
Cu: 0.0000 0.0000 0.7221 [4 per cell]
Cu: 0.2500 0.3942 0.7450 [4 per cell]
S: 0.0001 0.1070 0.4991 [8 per cell]
S: 0.2500 0.2899 0.5010 [4 per cell]
S: 0.2500 0.4940 0.4791 [4 per cell]

The 10 most intense peaks (2θ from 10° to 80°), in order of rising 2θ:
15.24°, 5.815 Å, rel. 100; 16.75°, 5.292 Å, rel. 26; 29.13°, 3.065 Å, rel. 18; 29.19°, 3.059 Å, rel. 24; 35.99°, 2.495 Å, rel. 23; 37.89°, 2.374 Å, rel. 12; 45.28°, 2.003 Å, rel. 47; 45.81°, 1.981 Å, rel. 12; 48.56°, 1.875 Å, rel. 14; 50.68°, 1.801 Å, rel. 20


3.
Structure and computed powder X-ray diffraction pattern of TbSn3 (a cell relaxed with PBE; CuKα).
No peak broadening, texture or thermal motion is included.

Crystal structure
a b c (Å): 4.7263 4.7263 4.7263
angles (deg): 90.00 90.00 90.00
Space group Pm-3m (No. 221)
Asymmetric unit:
Tb: 0.0000 0.0000 0.0000 [1 per cell]
Sn: 0.0000 0.5000 0.5000 [3 per cell]

The 8 most intense peaks (2θ from 10° to 80°), in order of rising 2θ:
18.78°, 4.726 Å, rel. 1; 26.67°, 3.342 Å, rel. 1; 32.82°, 2.729 Å, rel. 100; 38.08°, 2.363 Å, rel. 50; 42.78°, 2.114 Å, rel. 1; 54.95°, 1.671 Å, rel. 36; 65.50°, 1.425 Å, rel. 43; 68.81°, 1.364 Å, rel. 12


4.
Structure and computed powder X-ray diffraction pattern of SnRh2 (a cell relaxed with PBE; CuKα).
No peak broadening, texture or thermal motion is included.

Crystal structure
a b c (Å): 5.6017 4.3126 8.1144
angles (deg): 90.00 90.00 90.00
Space group Pnma (No. 62)
Asymmetric unit:
Sn: 0.1958 0.2500 0.1029 [4 per cell]
Rh: 0.0405 0.2500 0.7769 [4 per cell]
Rh: 0.1738 0.2500 0.4329 [4 per cell]

The 10 most intense peaks (2θ from 10° to 80°), in order of rising 2θ:
38.32°, 2.349 Å, rel. 53; 39.08°, 2.305 Å, rel. 25; 39.32°, 2.291 Å, rel. 100; 39.96°, 2.256 Å, rel. 61; 41.90°, 2.156 Å, rel. 49; 42.63°, 2.121 Å, rel. 12; 46.68°, 1.946 Å, rel. 26; 58.63°, 1.575 Å, rel. 15; 64.51°, 1.445 Å, rel. 20; 74.79°, 1.269 Å, rel. 15


5.
Structure and computed powder X-ray diffraction pattern of FeCu2C12 (a cell relaxed with PBE; CuKα).
No peak broadening, texture or thermal motion is included.

Crystal structure
a b c (Å): 10.0273 10.0273 10.0273
angles (deg): 90.00 90.00 90.00
Space group F-43m (No. 216)
Asymmetric unit:
Fe: 0.0000 0.0000 0.0000 [4 per cell]
Cu: 0.0000 0.0000 0.5000 [4 per cell]
Cu: 0.2500 0.2500 0.7500 [4 per cell]
C: 0.0000 0.0000 0.1883 [24 per cell]
C: 0.0000 0.0000 0.3128 [24 per cell]

The 10 most intense peaks (2θ from 10° to 80°), in order of rising 2θ:
15.30°, 5.789 Å, rel. 33; 17.69°, 5.014 Å, rel. 59; 25.12°, 3.545 Å, rel. 100; 29.55°, 3.023 Å, rel. 20; 35.82°, 2.507 Å, rel. 49; 39.16°, 2.300 Å, rel. 9; 44.25°, 2.047 Å, rel. 27; 51.56°, 1.773 Å, rel. 22; 58.19°, 1.585 Å, rel. 30; 70.25°, 1.340 Å, rel. 23


6.
Structure and computed powder X-ray diffraction pattern of Mg2TiO4 (a cell relaxed with PBE; CuKα).
No peak broadening, texture or thermal motion is included.

Crystal structure
a b c (Å): 6.0517 6.0517 8.4876
angles (deg): 90.00 90.00 90.00
Space group P4_122 (No. 91)
Asymmetric unit:
Mg: 0.0000 0.2487 0.0000 [4 per cell]
Mg: 0.2526 0.2526 0.3750 [4 per cell]
Ti: 0.2360 0.5000 0.7500 [4 per cell]
O: 0.0265 0.2633 0.7521 [8 per cell]
O: 0.2609 0.4830 0.9829 [8 per cell]

The 10 most intense peaks (2θ from 10° to 80°), in order of rising 2θ:
18.00°, 4.927 Å, rel. 66; 29.65°, 3.013 Å, rel. 20; 34.79°, 2.578 Å, rel. 100; 35.01°, 2.563 Å, rel. 51; 42.24°, 2.140 Å, rel. 59; 42.61°, 2.122 Å, rel. 29; 55.84°, 1.647 Å, rel. 38; 56.29°, 1.634 Å, rel. 19; 61.27°, 1.513 Å, rel. 34; 61.55°, 1.507 Å, rel. 68